For PrZnGe, a cell relaxed with GGA-PBE gives the theoretical powder diffraction line list in this record (λ = 1.5418 Å (Cu Kα)).

Main lines, by angle (2θ from 5° to 70°):
| 2theta | I (rel.) | (hkl) |
| --- | --- | --- |
| 23.85 | 10.8 | 1 0 0 |
| 32.02 | 100.0 | 1 0 4 |
| 41.95 | 43.6 | 1 1 0 |
| 42.84 | 12.0 | 0 0 8 |
| 44.74 | 1.7 | 1 0 7 |
| 48.83 | 1.6 | 2 0 0 |
| 49.62 | 3.9 | 1 0 8 |
| 53.73 | 22.8 | 2 0 4 |
| 61.51 | 24.1 | 1 1 8 |
| 65.78 | 1.2 | 1 0 11 |
| 66.30 | 1.3 | 2 1 0 |
| 66.95 | 1.6 | 2 0 8 |

Structure:
Unit cell a=4.3073 b=4.3073 c=16.8876 alpha=90.00 beta=90.00 gamma=120.00
Space group P6_3/mmc (No. 194)
Inequivalent atoms, fractional coordinates:
Pr1 0.0000 0.0000 0.0000
Pr2 0.0000 0.0000 0.2500
Zn1 0.3333 0.6667 0.1377
Ge1 0.3333 0.6667 0.6181

For Gd2Te3, a cell relaxed with GGA-PBE gives the theoretical powder diffraction line list in this record (λ = 1.5418 Å (Cu Kα)).

Main lines, by angle (2θ from 5° to 70°):
| 2theta | I (rel.) | (hkl) |
| --- | --- | --- |
| 26.46 | 48.0 | 1 1 2 |
| 29.45 | 76.5 | 4 0 0 |
| 30.53 | 100.0 | 0 1 3 |
| 31.17 | 63.9 | 3 1 1 |
| 31.45 | 78.7 | 1 1 3 |
| 33.86 | 81.9 | 3 1 2 |
| 36.97 | 42.8 | 4 1 1 |
| 37.43 | 40.2 | 1 1 4 |
| 39.32 | 41.9 | 4 1 2 |
| 41.56 | 70.1 | 0 2 0 |
| 44.25 | 41.9 | 3 0 5 |
| 62.33 | 46.2 | 3 2 5 |

Structure:
Unit cell a=12.1083 b=4.3456 c=11.8760 alpha=90.00 beta=90.00 gamma=90.00
Space group Pnma (No. 62)
Inequivalent atoms, fractional coordinates:
Gd1 0.0170 0.2500 0.1882
Gd2 0.1958 0.2500 0.4980
Te1 0.0431 0.7500 0.3766
Te2 0.1185 0.2500 0.9432
Te3 0.2240 0.7500 0.6970

For LaAlAu, a cell relaxed with GGA-PBE gives the theoretical powder diffraction line list in this record (λ = 1.5418 Å (Cu Kα)).

Main lines, by angle (2θ from 5° to 70°):
| 2theta | I (rel.) | (hkl) |
| --- | --- | --- |
| 25.08 | 46.1 | 1 1 1 |
| 25.66 | 31.8 | 1 0 2 |
| 32.19 | 100.0 | 2 1 1 |
| 32.67 | 17.1 | 2 0 2 |
| 36.74 | 19.5 | 3 0 1 |
| 38.63 | 26.4 | 0 2 0 |
| 39.79 | 29.1 | 0 1 3 |
| 46.97 | 16.8 | 4 0 0 |
| 54.37 | 12.7 | 3 2 1 |
| 63.14 | 13.5 | 3 1 4 |
| 65.88 | 12.8 | 2 3 1 |
| 68.32 | 12.3 | 5 1 2 |

Structure:
Unit cell a=7.7300 b=4.6614 c=7.7771 alpha=90.00 beta=90.00 gamma=90.00
Space group Pnma (No. 62)
Inequivalent atoms, fractional coordinates:
La1 0.0104 0.2500 0.1906
Al1 0.1648 0.2500 0.5783
Au1 0.1998 0.7500 0.4042

For RbH2I3O9, a cell relaxed with GGA-PBE gives the theoretical powder diffraction line list in this record (λ = 1.5418 Å (Cu Kα)).

Main lines, by angle (2θ from 5° to 70°):
| 2theta | I (rel.) | (hkl) |
| --- | --- | --- |
| 21.41 | 38.2 | 1 -1 1 |
| 23.67 | 18.8 | 0 2 0 |
| 23.98 | 27.2 | 0 2 1 |
| 24.12 | 54.3 | 1 0 2 |
| 25.34 | 100.0 | 2 1 0 |
| 25.61 | 34.7 | 1 0 -2 |
| 26.81 | 39.2 | -1 1 2 |
| 27.41 | 28.0 | 2 -1 0 |
| 28.10 | 66.6 | 0 2 -1 |
| 29.73 | 46.4 | 1 2 2 |
| 29.88 | 45.2 | 2 -1 1 |
| 48.14 | 19.6 | 4 0 0 |

Structure:
Unit cell a=7.6276 b=7.7272 c=8.3359 alpha=77.81 beta=84.70 gamma=83.52
Space group P1 (No. 1)
Inequivalent atoms, fractional coordinates:
Rb1 0.0000 0.0000 0.0000
Rb2 0.2818 0.6294 0.3107
H1 0.1256 0.8753 0.6370
H2 0.1690 0.3117 0.6879
H3 0.5664 0.2240 0.4826
H4 0.7224 0.4092 0.8165
I1 0.3071 0.5172 0.8165
I2 0.4871 0.1406 0.2343
I3 0.5459 0.9392 0.8096
I4 0.7495 0.6940 0.4827
I5 0.7935 0.4968 0.0659
I6 0.9744 0.1521 0.4676
O1 0.0085 0.5766 0.0569
O2 0.0470 0.3565 0.5027
O3 0.0980 0.0036 0.6496
O4 0.1896 0.6563 0.6491
O5 0.2333 0.2894 0.7912
O6 0.2714 0.0615 0.2453
O7 0.3755 0.7899 0.9080
O8 0.4491 0.2444 0.4299
O9 0.4524 0.3586 0.0969
O10 0.5276 0.4841 0.7169
O11 0.5580 0.8576 0.4941
O12 0.5965 0.0180 0.9918
O13 0.6841 0.6161 0.3036
O14 0.7403 0.7780 0.8064
O15 0.7562 0.1639 0.5761
O16 0.8322 0.2776 0.2050
O17 0.8361 0.3860 0.8739
O18 0.9184 0.8389 0.3815

For Ca4Bi6O13, a cell relaxed with GGA-PBE gives the theoretical powder diffraction line list in this record (λ = 1.5418 Å (Cu Kα)).

Main lines, by angle (2θ from 5° to 70°):
| 2theta | I (rel.) | (hkl) |
| --- | --- | --- |
| 10.04 | 26.3 | 0 0 1 |
| 21.16 | 60.8 | 2 0 1 |
| 29.10 | 100.0 | 2 4 0 |
| 29.39 | 72.4 | 2 0 2 |
| 29.73 | 31.2 | 4 0 -1 |
| 31.88 | 45.4 | 0 4 2 |
| 44.15 | 53.7 | 4 4 1 |
| 50.10 | 23.7 | 0 8 0 |
| 52.38 | 19.3 | 6 4 -2 |
| 52.56 | 15.1 | 6 0 1 |
| 55.44 | 29.8 | 2 4 4 |
| 59.12 | 19.1 | 2 8 2 |

Structure:
Unit cell a=12.0183 b=14.5769 c=9.3045 alpha=90.00 beta=108.83 gamma=90.00
Space group Cm (No. 8)
Inequivalent atoms, fractional coordinates:
Ca1 0.0000 0.1232 0.0000
Ca2 0.9996 0.3761 0.9998
Ca3 0.2144 0.1236 0.8594
Ca4 0.2149 0.3766 0.8591
Bi1 0.0713 0.1358 0.4305
Bi2 0.0707 0.3642 0.4287
Bi3 0.2710 0.2499 0.2029
Bi4 0.2746 0.5000 0.2077
Bi5 0.2763 0.0000 0.2067
Bi6 0.3843 0.2502 0.6562
Bi7 0.3858 0.0000 0.6516
Bi8 0.3879 0.5000 0.6524
O1 0.0064 0.1233 0.7340
O2 0.0061 0.3778 0.7312
O3 0.0104 0.5000 0.4133
O4 0.0184 0.0000 0.4458
O5 0.1402 0.5000 0.9936
O6 0.1409 0.0000 0.9921
O7 0.1428 0.1310 0.2508
O8 0.1428 0.2503 0.9871
O9 0.1431 0.3664 0.2497
O10 0.2322 0.3690 0.6083
O11 0.2332 0.1334 0.6094
O12 0.3540 0.1231 0.1247
O13 0.3550 0.3778 0.1280
O14 0.3586 0.0000 0.8655
O15 0.3594 0.5000 0.8671
O16 0.3641 0.2502 0.8721

For Na3Hg, a cell relaxed with GGA-PBE gives the theoretical powder diffraction line list in this record (λ = 1.5418 Å (Cu Kα)).

Main lines, by angle (2θ from 5° to 70°):
| 2theta | I (rel.) | (hkl) |
| --- | --- | --- |
| 14.44 | 46.2 | 1 0 0 |
| 21.77 | 100.0 | 1 0 1 |
| 25.15 | 49.0 | 1 1 0 |
| 29.12 | 20.9 | 2 0 0 |
| 32.73 | 20.7 | 0 0 2 |
| 33.50 | 87.3 | 2 0 1 |
| 41.72 | 26.8 | 1 1 2 |
| 42.35 | 40.5 | 2 1 1 |
| 44.34 | 24.6 | 3 0 0 |
| 51.64 | 23.2 | 2 2 0 |
| 58.92 | 17.0 | 2 0 3 |
| 62.48 | 18.8 | 2 2 2 |

Structure:
Unit cell a=7.0818 b=7.0818 c=5.4718 alpha=90.00 beta=90.00 gamma=120.00
Space group P6_3/mmc (No. 194)
Inequivalent atoms, fractional coordinates:
Na1 0.1731 0.3461 0.2500
Hg1 0.3333 0.6667 0.7500

For Tm2SeO2, a cell relaxed with GGA-PBE gives the theoretical powder diffraction line list in this record (λ = 1.5418 Å (Cu Kα)).

Main lines, by angle (2θ from 5° to 70°):
| 2theta | I (rel.) | (hkl) |
| --- | --- | --- |
| 26.39 | 12.1 | 0 0 2 |
| 27.21 | 8.5 | 1 0 0 |
| 30.32 | 100.0 | 0 1 1 |
| 38.27 | 40.4 | 1 0 2 |
| 40.05 | 10.7 | 0 0 3 |
| 48.10 | 32.3 | 1 1 0 |
| 49.10 | 16.0 | 0 1 3 |
| 55.69 | 9.6 | 1 1 2 |
| 57.92 | 16.5 | 2 0 1 |
| 61.81 | 10.0 | 0 1 4 |
| 63.07 | 9.6 | 0 2 2 |
| 64.32 | 15.5 | 1 1 3 |

Structure:
Unit cell a=3.7837 b=3.7837 c=6.7535 alpha=90.00 beta=90.00 gamma=120.00
Space group P-3m1 (No. 164)
Inequivalent atoms, fractional coordinates:
Tm1 0.3333 0.6667 0.2921
Se1 0.0000 0.0000 0.0000
O1 0.3333 0.6667 0.6255

For BiPbO2F, a cell relaxed with GGA-PBE gives the theoretical powder diffraction line list in this record (λ = 1.5418 Å (Cu Kα)).

Main lines, by angle (2θ from 5° to 70°):
| 2theta | I (rel.) | (hkl) |
| --- | --- | --- |
| 25.69 | 56.0 | 1 1 0 |
| 27.40 | 56.8 | 0 0 2 |
| 29.03 | 100.0 | 2 0 -1 |
| 29.27 | 98.3 | 1 1 1 |
| 29.43 | 26.2 | 2 0 1 |
| 37.73 | 28.9 | 1 1 -2 |
| 45.24 | 21.8 | 0 2 0 |
| 45.34 | 43.0 | 3 1 0 |
| 49.75 | 29.7 | 1 1 3 |
| 53.70 | 18.7 | 0 2 2 |
| 54.18 | 19.0 | 3 1 2 |
| 54.64 | 22.8 | 2 2 -1 |

Structure:
Unit cell a=6.9246 b=4.0086 c=6.5116 alpha=90.00 beta=90.98 gamma=90.00
Space group Cm (No. 8)
Inequivalent atoms, fractional coordinates:
Bi1 0.0000 0.0000 0.0000
Pb1 0.1763 0.5000 0.4530
O1 0.0062 0.0000 0.3404
O2 0.1688 0.5000 0.0895
F1 0.3316 0.0000 0.8066